Diffraction record for Li8Pr4O11. The powder diffractogram is computed, not measured: it uses a GGA-PBE-relaxed structure and Cu Kα X-rays.
Intensities are scaled so that the largest is 100.

Cell and atoms:
```
Li8Pr4O11
1.0
4.933 0.000 0.000
-0.871 6.022 0.000
-2.204 -1.604 9.555
Li Pr O
8 4 11
direct
0.000 0.000 0.000
0.000 0.461 0.275
0.052 0.123 0.355
0.060 0.616 0.857
0.068 0.964 0.752
0.139 0.575 0.615
0.515 0.272 0.325
0.547 0.811 0.788
0.529 0.830 0.128
0.530 0.262 0.634
0.599 0.746 0.470
0.614 0.332 0.990
0.266 0.422 0.448
0.298 0.890 0.613
0.328 0.959 0.928
0.340 0.961 0.310
0.348 0.474 0.798
0.622 0.535 0.248
0.774 0.133 0.464
0.816 0.646 0.682
0.818 0.144 0.835
0.865 0.150 0.160
0.938 0.676 0.030
```

The 8 most intense peaks (2θ = 5–70°), in order of falling intensity:
2theta, intensity
18.7, 100
34.0, 49
29.6, 44
22.9, 40
18.6, 30
30.1, 27
37.5, 27
25.2, 24



Diffraction record for LiPrO3. The powder diffractogram is computed, not measured: it uses a GGA-PBE-relaxed structure and Cu Kα X-rays.
Intensities are scaled so that the largest is 100.

Cell and atoms:
```
LiPrO3
1.0
2.912 1.681 4.944
-2.912 1.681 4.944
0.000 -3.363 4.944
Li Pr O
2 2 6
direct
0.250 0.250 0.250
0.750 0.750 0.750
0.000 0.000 0.000
0.500 0.500 0.500
0.069 0.750 0.431
0.250 0.569 0.931
0.431 0.069 0.750
0.569 0.931 0.250
0.750 0.431 0.069
0.931 0.250 0.569
```

The 8 most intense peaks (2θ = 5–70°), in order of falling intensity:
2theta, intensity
21.3, 100
29.9, 54
30.7, 33
48.3, 32
37.7, 26
49.4, 23
54.1, 19
43.4, 18